1.
For Ca7Tl2In2, the PBE geometry in Alexandria gives the theoretical powder diffractogram in this record (Cu Kα).

Main lines, in order of rising 2θ (5° ≤ 2θ ≤ 70°):
d (Å), two_theta, I/Imax, (hkl)
4.808, 18.45, 100, 0 2 1
3.597, 24.75, 79, 2 0 1
2.944, 30.36, 34, 0 4 0
2.689, 33.32, 47, 1 3 2
2.588, 34.66, 91, 2 2 2
2.512, 35.75, 32, 0 2 3
2.278, 39.55, 36, 2 0 3
2.128, 42.48, 29, 3 3 1

Structure:
abc: 7.9759 11.7757 8.3307
angles: 90.00 90.00 90.00
Space group Cmmm (No. 65)
Unique sites:
Ca (0.0000, 0.0000, 0.0000) x2
Ca (0.0000, 0.5000, 0.2569) x4
Ca (0.2500, 0.2500, 0.2893) x8
Tl (0.0000, 0.2900, 0.0000) x4
In (0.1783, 0.0000, 0.5000) x4



2.
For Ca8Tl2In, the PBE geometry in Alexandria gives the theoretical powder diffractogram in this record (Cu Kα).

Main lines, in order of rising 2θ (5° ≤ 2θ ≤ 70°):
d (Å), two_theta, I/Imax, (hkl)
4.537, 19.57, 86, 1 1 0
3.841, 23.16, 17, 1 0 3
2.811, 31.83, 100, 1 2 3
2.720, 32.93, 25, 2 0 0
2.712, 33.03, 20, 0 0 6
2.454, 36.63, 19, 1 3 0
2.331, 38.63, 26, 2 1 3
1.587, 58.11, 17, 3 2 3

Structure:
abc: 5.4407 8.2499 16.2718
angles: 90.00 90.00 90.00
Space group Immm (No. 71)
Unique sites:
Ca (0.0000, 0.0000, 0.1582) x4
Ca (0.0000, 0.2258, 0.3442) x8
Ca (0.0000, 0.2900, 0.0000) x4
Tl (0.0000, 0.5000, 0.1849) x4
In (0.0000, 0.5000, 0.5000) x2



3.
For CaTlIn2, the PBE geometry in Alexandria gives the theoretical powder diffractogram in this record (Cu Kα).

Main lines, in order of rising 2θ (5° ≤ 2θ ≤ 70°):
d (Å), two_theta, I/Imax, (hkl)
5.259, 16.86, 22, 2 0 0
2.890, 30.94, 100, 1 1 1
2.747, 32.60, 43, 2 0 -2
2.630, 34.09, 39, 4 0 0
2.465, 36.45, 65, 3 1 -1
2.310, 38.99, 26, 2 0 2
1.715, 53.42, 21, 1 1 -3
1.657, 55.44, 18, 5 1 1

Structure:
abc: 10.7468 3.7043 5.8077
angles: 90.00 101.82 90.00
Space group Cm (No. 8)
Unique sites:
Ca (0.0000, 0.0000, 0.0000) x2
Tl (0.2447, 0.0000, 0.7520) x2
In (0.2536, 0.5000, 0.2721) x2
In (0.4963, 0.0000, 0.4951) x2



4.
For Ca5TmIn3, the PBE geometry in Alexandria gives the theoretical powder diffractogram in this record (Cu Kα).

Main lines, in order of rising 2θ (5° ≤ 2θ ≤ 70°):
d (Å), two_theta, I/Imax, (hkl)
8.246, 10.73, 48, 1 0 0
3.943, 22.55, 35, 1 1 1
2.829, 31.62, 100, 1 1 2
2.749, 32.58, 100, 3 0 0
1.971, 46.04, 34, 2 2 2
1.602, 57.53, 33, 4 1 2
1.587, 58.13, 17, 3 3 0
1.482, 62.71, 29, 3 0 4

Structure:
abc: 9.5212 9.5212 7.0365
angles: 90.00 90.00 120.00
Space group P6_3/mcm (No. 193)
Unique sites:
Ca (0.0000, 0.3385, 0.2500) x6
Ca (0.3333, 0.6667, 0.0000) x4
Tm (0.0000, 0.0000, 0.0000) x2
In (0.0000, 0.3186, 0.7500) x6